No. 1
The following is a computed powder XRD pattern of Li3Nb4SnO12. It was derived from the PBE geometry in the Materials Project, using Cu Kα.
Intensities are scaled so that the largest is 100.

The 10 most intense peaks (2θ from 5° to 70°), in order of falling intensity:
(hkl)  2θ/deg  intensity
1 -1 2  31.68  100
1 1 0  22.69  98
2 0 0  32.93  76
2 2 0  46.30  37
3 -1 2  57.98  25
2 -2 2  51.31  20
1 0 1  19.87  19
0 0 4  46.43  18
3 1 2  58.84  18
1 2 1  38.21  16

Crystal structure
abc: 5.4435 5.6645 7.8344
angles: 93.09 90.09 90.09
Space group P1 (No. 1)
Inequivalent atoms, fractional coordinates:
Li 0.0000 0.0000 0.0000 (multiplicity 1)
Li 0.0012 0.9943 0.4979 (multiplicity 1)
Li 0.5086 0.4950 0.0023 (multiplicity 1)
Nb 0.0045 0.5817 0.7185 (multiplicity 1)
Nb 0.0088 0.5559 0.1980 (multiplicity 1)
Nb 0.5043 0.0829 0.7231 (multiplicity 1)
Nb 0.5128 0.0496 0.2103 (multiplicity 1)
Sn 0.5100 0.5329 0.4779 (multiplicity 1)
O 0.0657 0.5967 0.4528 (multiplicity 1)
O 0.2062 0.2829 0.1442 (multiplicity 1)
O 0.2089 0.8920 0.7535 (multiplicity 1)
O 0.3064 0.7750 0.1445 (multiplicity 1)
O 0.3115 0.3997 0.7590 (multiplicity 1)
O 0.4011 0.0971 0.4524 (multiplicity 1)
O 0.6152 0.0917 0.9575 (multiplicity 1)
O 0.6968 0.3782 0.2323 (multiplicity 1)
O 0.7261 0.8131 0.6613 (multiplicity 1)
O 0.7968 0.3003 0.6488 (multiplicity 1)
O 0.8148 0.8911 0.2528 (multiplicity 1)
O 0.8889 0.6069 0.9568 (multiplicity 1)


No. 2
The following is a computed powder XRD pattern of Sr3Li6Nb2O11. It was derived from the PBE geometry in the Materials Project, using Cu Kα.
Intensities are scaled so that the largest is 100.

The 10 most intense peaks (2θ from 5° to 70°), in order of falling intensity:
(hkl)  2θ/deg  intensity
2 2 1  30.98  100
1 1 1  20.21  76
0 4 0  42.85  58
2 1 1  24.86  57
4 0 0  33.47  56
2 0 2  34.87  41
2 2 0  26.89  39
0 2 1  26.00  35
0 2 3  51.48  22
4 4 0  55.43  21

Crystal structure
abc: 10.7049 8.4449 5.8695
angles: 90.00 90.00 90.00
Space group Pmma (No. 51)
Inequivalent atoms, fractional coordinates:
Sr 0.0000 0.2362 0.0000 (multiplicity 4)
Sr 0.2500 0.5000 0.1166 (multiplicity 2)
Li 0.0000 0.1456 0.5000 (multiplicity 4)
Li 0.2500 0.1856 0.2809 (multiplicity 4)
Li 0.2500 0.3530 0.6466 (multiplicity 4)
Nb 0.0000 0.5000 0.5000 (multiplicity 2)
Nb 0.2500 0.0000 0.7631 (multiplicity 2)
O 0.0604 0.0000 0.7521 (multiplicity 4)
O 0.1073 0.5000 0.7822 (multiplicity 4)
O 0.1110 0.3264 0.3658 (multiplicity 8)
O 0.2500 0.0000 0.4430 (multiplicity 2)
O 0.2500 0.1993 0.9312 (multiplicity 4)


No. 3
The following is a computed powder XRD pattern of SrLi2Nb2O7. It was derived from the PBE geometry in the Materials Project, using Cu Kα.
Intensities are scaled so that the largest is 100.

The 10 most intense peaks (2θ from 5° to 70°), in order of falling intensity:
(hkl)  2θ/deg  intensity
1 0 3  26.54  100
1 0 5  33.01  75
0 0 2  9.60  65
1 1 0  31.53  51
2 0 0  45.19  46
2 1 3  53.17  28
2 1 5  57.09  28
1 1 8  51.10  26
1 0 1  22.68  25
0 0 8  39.13  23

Crystal structure
abc: 4.0130 4.0130 18.4188
angles: 90.00 90.00 90.00
Space group I4/mmm (No. 139)
Inequivalent atoms, fractional coordinates:
Sr 0.0000 0.0000 0.0000 (multiplicity 2)
Li 0.0000 0.5000 0.2500 (multiplicity 4)
Nb 0.0000 0.0000 0.3844 (multiplicity 4)
O 0.0000 0.0000 0.2812 (multiplicity 4)
O 0.0000 0.0000 0.5000 (multiplicity 2)
O 0.0000 0.5000 0.1054 (multiplicity 8)


No. 4
The following is a computed powder XRD pattern of Sr3Li4Nb6O20. It was derived from the PBE geometry in the Materials Project, using Cu Kα.
Intensities are scaled so that the largest is 100.

The 10 most intense peaks (2θ from 5° to 70°), in order of falling intensity:
(hkl)  2θ/deg  intensity
1 1 7  32.47  100
1 1 5  27.89  93
2 0 0  31.62  78
0 0 2  6.64  72
2 2 0  45.33  68
3 1 7  56.86  42
1 1 1  22.47  42
1 1 3  24.40  32
2 0 12  52.39  29
3 1 5  54.06  29

Crystal structure
abc: 5.6587 5.6583 26.6399
angles: 90.00 90.00 90.00
Space group Amm2 (No. 38)
Inequivalent atoms, fractional coordinates:
Sr 0.0000 0.0000 0.9996 (multiplicity 2)
Sr 0.0000 0.0000 0.1612 (multiplicity 2)
Sr 0.5000 0.0000 0.5000 (multiplicity 2)
Li 0.2496 0.2495 0.3253 (multiplicity 8)
Nb 0.0000 0.0000 0.4203 (multiplicity 2)
Nb 0.0000 0.0000 0.5803 (multiplicity 2)
Nb 0.0000 0.0000 0.7346 (multiplicity 2)
Nb 0.5000 0.0000 0.0803 (multiplicity 2)
Nb 0.5000 0.0000 0.2346 (multiplicity 2)
Nb 0.5000 0.0000 0.9202 (multiplicity 2)
O 0.0000 0.0000 0.3490 (multiplicity 2)
O 0.0000 0.0000 0.5009 (multiplicity 2)
O 0.0000 0.0000 0.6513 (multiplicity 2)
O 0.0000 0.0000 0.8057 (multiplicity 2)
O 0.2429 0.2429 0.2274 (multiplicity 8)
O 0.2437 0.2437 0.0734 (multiplicity 8)
O 0.2502 0.2498 0.4281 (multiplicity 8)
O 0.5000 0.0000 0.0008 (multiplicity 2)
O 0.5000 0.0000 0.1513 (multiplicity 2)
O 0.5000 0.0000 0.3057 (multiplicity 2)
O 0.5000 0.0000 0.8490 (multiplicity 2)


No. 5
The following is a computed powder XRD pattern of SrLi2Nb2O7. It was derived from the PBE geometry in the Materials Project, using Cu Kα.
Intensities are scaled so that the largest is 100.

The 10 most intense peaks (2θ from 5° to 70°), in order of falling intensity:
(hkl)  2θ/deg  intensity
3 1 1  26.59  100
5 1 1  33.10  76
2 0 0  9.65  66
0 0 2  31.55  50
0 2 2  45.22  44
5 3 1  57.18  29
3 3 1  53.23  28
1 1 1  22.70  24
8 0 0  39.31  21
8 2 2  61.44  21

Crystal structure
abc: 18.3353 5.6766 5.6656
angles: 90.00 90.00 90.00
Space group Cmcm (No. 63)
Inequivalent atoms, fractional coordinates:
Sr 0.0000 0.2449 0.2500 (multiplicity 4)
Li 0.2384 0.0000 0.0000 (multiplicity 8)
Nb 0.1154 0.2538 0.7500 (multiplicity 8)
O 0.0000 0.2030 0.7500 (multiplicity 4)
O 0.0948 0.5000 0.0000 (multiplicity 8)
O 0.1163 0.0000 0.0000 (multiplicity 8)
O 0.2182 0.2811 0.7500 (multiplicity 8)


No. 6
The following is a computed powder XRD pattern of Sr3Li2Nb4O13. It was derived from the PBE geometry in the Materials Project, using Cu Kα.
Intensities are scaled so that the largest is 100.

The 10 most intense peaks (2θ from 5° to 70°), in order of falling intensity:
(hkl)  2θ/deg  intensity
1 0 9  31.99  100
1 1 0  31.22  79
1 0 7  28.42  77
0 0 2  5.08  67
2 0 0  44.73  61
2 1 9  56.05  42
1 1 16  52.85  29
2 0 16  62.67  26
2 1 7  53.85  25
0 0 16  41.52  24

Crystal structure
abc: 4.0521 4.0521 34.7981
angles: 90.00 90.00 90.00
Space group I4/mmm (No. 139)
Inequivalent atoms, fractional coordinates:
Sr 0.0000 0.0000 0.0000 (multiplicity 2)
Sr 0.0000 0.0000 0.1229 (multiplicity 4)
Li 0.0000 0.5000 0.2500 (multiplicity 4)
Nb 0.0000 0.0000 0.3207 (multiplicity 4)
Nb 0.0000 0.0000 0.4409 (multiplicity 4)
O 0.0000 0.0000 0.2661 (multiplicity 4)
O 0.0000 0.0000 0.3829 (multiplicity 4)
O 0.0000 0.0000 0.5000 (multiplicity 2)
O 0.0000 0.5000 0.0579 (multiplicity 8)
O 0.0000 0.5000 0.1727 (multiplicity 8)


No. 7
The following is a computed powder XRD pattern of Sr3Li4Nb6O20. It was derived from the PBE geometry in the Materials Project, using Cu Kα.
Intensities are scaled so that the largest is 100.

The 10 most intense peaks (2θ from 5° to 70°), in order of falling intensity:
(hkl)  2θ/deg  intensity
-1 1 4  32.49  100
1 1 2  27.89  96
0 2 0  31.58  80
0 0 1  6.65  70
2 2 -1  45.27  69
-1 1 1  22.44  42
-1 1 2  24.39  32
0 0 6  40.73  29
0 0 3  20.04  26
3 -1 1  54.01  26

Crystal structure
abc: 5.6654 5.6654 13.5851
angles: 90.08 101.93 90.08
Space group P1 (No. 1)
Inequivalent atoms, fractional coordinates:
Sr 0.0000 0.0000 0.0000 (multiplicity 1)
Sr 0.1641 0.9988 0.3252 (multiplicity 1)
Sr 0.6661 0.4971 0.3255 (multiplicity 1)
Li 0.0883 0.7486 0.6735 (multiplicity 1)
Li 0.0887 0.2473 0.6739 (multiplicity 1)
Li 0.5896 0.2475 0.6735 (multiplicity 1)
Li 0.5900 0.7485 0.6740 (multiplicity 1)
Nb 0.0884 0.4955 0.1632 (multiplicity 1)
Nb 0.2437 0.4987 0.4838 (multiplicity 1)
Nb 0.4284 0.9985 0.8538 (multiplicity 1)
Nb 0.5864 0.9936 0.1632 (multiplicity 1)
Nb 0.7435 0.9986 0.4836 (multiplicity 1)
Nb 0.9286 0.4987 0.8538 (multiplicity 1)
O 0.0154 0.4961 0.0206 (multiplicity 1)
O 0.1658 0.4944 0.3221 (multiplicity 1)
O 0.1790 0.2409 0.8665 (multiplicity 1)
O 0.1786 0.7550 0.8670 (multiplicity 1)
O 0.3159 0.4979 0.6265 (multiplicity 1)
O 0.3236 0.2169 0.1755 (multiplicity 1)
O 0.3582 0.9978 0.7112 (multiplicity 1)
O 0.3690 0.7209 0.1783 (multiplicity 1)
O 0.4865 0.7478 0.4676 (multiplicity 1)
O 0.4878 0.2480 0.4678 (multiplicity 1)
O 0.5145 0.9952 0.0206 (multiplicity 1)
O 0.6674 0.9960 0.3221 (multiplicity 1)
O 0.6924 0.7543 0.8666 (multiplicity 1)
O 0.6928 0.2409 0.8672 (multiplicity 1)
O 0.8157 0.9978 0.6264 (multiplicity 1)
O 0.8413 0.2477 0.1768 (multiplicity 1)
O 0.8581 0.4977 0.7112 (multiplicity 1)
O 0.8715 0.7649 0.1755 (multiplicity 1)
O 0.9864 0.7465 0.4678 (multiplicity 1)
O 0.9872 0.2473 0.4680 (multiplicity 1)


No. 8
The following is a computed powder XRD pattern of Li4Nb3TeO12. It was derived from the PBE geometry in the Materials Project, using Cu Kα.
Intensities are scaled so that the largest is 100.

The 10 most intense peaks (2θ from 5° to 70°), in order of falling intensity:
(hkl)  2θ/deg  intensity
0 0 2  23.31  100
1 1 2  32.13  39
2 0 0  34.24  24
2 2 2  52.23  18
0 0 4  47.66  18
3 1 0  55.12  16
2 0 2  41.83  13
3 -1 2  61.30  12
3 1 2  59.96  10
1 -3 0  52.31  9

Crystal structure
abc: 5.2375 5.5902 7.6712
angles: 84.82 89.94 89.94
Space group P1 (No. 1)
Inequivalent atoms, fractional coordinates:
Li 0.0000 0.0000 0.0000 (multiplicity 1)
Li 0.0021 0.9941 0.5032 (multiplicity 1)
Li 0.4992 0.4909 0.9989 (multiplicity 1)
Li 0.5028 0.4963 0.5068 (multiplicity 1)
Nb 0.0006 0.4361 0.7229 (multiplicity 1)
Nb 0.5035 0.9369 0.7145 (multiplicity 1)
Nb 0.9994 0.4202 0.2245 (multiplicity 1)
Te 0.5035 0.9204 0.2150 (multiplicity 1)
O 0.1262 0.3927 0.9565 (multiplicity 1)
O 0.1743 0.0852 0.2656 (multiplicity 1)
O 0.1955 0.7116 0.6383 (multiplicity 1)
O 0.3056 0.2124 0.6368 (multiplicity 1)
O 0.3240 0.5813 0.2660 (multiplicity 1)
O 0.3708 0.8935 0.9549 (multiplicity 1)
O 0.6335 0.8914 0.4601 (multiplicity 1)
O 0.6809 0.5865 0.7630 (multiplicity 1)
O 0.6958 0.2180 0.1337 (multiplicity 1)
O 0.8155 0.7170 0.1380 (multiplicity 1)
O 0.8198 0.0876 0.7629 (multiplicity 1)
O 0.8746 0.3942 0.4581 (multiplicity 1)


No. 9
The following is a computed powder XRD pattern of Li4ZrNbTe2O12. It was derived from the PBE geometry in the Materials Project, using Cu Kα.
Intensities are scaled so that the largest is 100.

The 10 most intense peaks (2θ from 5° to 70°), in order of falling intensity:
(hkl)  2θ/deg  intensity
0 0 2  23.29  100
0 2 0  32.23  40
1 1 4  52.39  28
1 1 -2  34.10  25
0 0 4  47.63  18
2 0 4  59.87  15
2 0 -2  41.71  14
2 2 -2  54.94  14
3 1 -2  61.04  12
-1 3 2  56.25  8

Crystal structure
abc: 5.2626 5.5732 7.6550
angles: 85.41 90.00 89.99
Space group P1 (No. 1)
Inequivalent atoms, fractional coordinates:
Li 0.0000 0.0000 0.0000 (multiplicity 1)
Li 0.0040 0.0050 0.5005 (multiplicity 1)
Li 0.4966 0.5099 0.0021 (multiplicity 1)
Li 0.5042 0.5045 0.4991 (multiplicity 1)
Zr 0.0006 0.5564 0.2764 (multiplicity 1)
Nb 0.5019 0.0578 0.7763 (multiplicity 1)
Te 0.0023 0.5566 0.7773 (multiplicity 1)
Te 0.5008 0.0606 0.2775 (multiplicity 1)
O 0.1320 0.5838 0.0228 (multiplicity 1)
O 0.1848 0.8933 0.7210 (multiplicity 1)
O 0.2082 0.2440 0.3533 (multiplicity 1)
O 0.3205 0.7676 0.3510 (multiplicity 1)
O 0.3277 0.3860 0.7223 (multiplicity 1)
O 0.3715 0.0748 0.0364 (multiplicity 1)
O 0.6303 0.0745 0.5247 (multiplicity 1)
O 0.6660 0.3709 0.2213 (multiplicity 1)
O 0.6867 0.7579 0.8492 (multiplicity 1)
O 0.8059 0.8942 0.2194 (multiplicity 1)
O 0.8126 0.2507 0.8484 (multiplicity 1)
O 0.8703 0.5761 0.5335 (multiplicity 1)